Starting from DFT lattice parameters and positions (PBE), the X-ray powder pattern of Dy7TmSc3 was calculated for Cu Kα (λ = 1.5418 Å).
Peak positions follow from Bragg's law for the DFT cell and can differ from measured ones.

The 12 most intense peaks (15° ≤ 2θ ≤ 90°), sorted by position:
d (Å)	intensity	h k l
4.645	30	0 1 1
3.490	36	0 1 2
3.342	54	2 0 -1
2.820	81	1 1 2
2.758	100	2 1 0
2.704	54	1 1 -3
2.695	95	0 2 0
2.670	53	2 1 -2
2.657	75	0 1 3
2.383	25	1 0 -4
2.098	30	2 2 -1
1.749	24	3 1 -4

Structure:
```
data_Dy7TmSc3
_space_group_name_H-M_alt 'P 1'
_space_group_IT_number 1
_space_group_name_Hall 'P 1'
_cell_length_a 6.699
_cell_length_b 5.390
_cell_length_c 9.559
_cell_angle_alpha 90.00
_cell_angle_beta 106.60
_cell_angle_gamma 90.00
loop_
_atom_site_label
_atom_site_type_symbol
_atom_site_fract_x
_atom_site_fract_y
_atom_site_fract_z
Dy1 Dy 0.000 0.000 0.000
Dy2 Dy 0.152 0.500 0.284
Dy3 Dy 0.321 0.500 0.634
Dy4 Dy 0.440 0.000 0.830
Dy5 Dy 0.560 0.000 0.170
Dy6 Dy 0.679 0.500 0.366
Dy7 Dy 0.848 0.500 0.716
Tm1 Tm 0.000 0.000 0.500
Sc1 Sc 0.276 0.500 0.987
Sc2 Sc 0.500 0.000 0.500
Sc3 Sc 0.724 0.500 0.013
```